# MoWO5
Theoretical powder diffractogram, CuKα. Input: DFT lattice parameters and positions (GGA+U).
Peak positions follow from Bragg's law for the DFT cell and can differ from measured ones.

```
data_MoWO5
_cell_length_a 3.725
_cell_length_b 6.436
_cell_length_c 7.748
_cell_angle_alpha 90.00
_cell_angle_beta 90.00
_cell_angle_gamma 90.00
_space_group_name_H-M_alt 'I m m m'
_space_group_IT_number 71
_space_group_name_Hall '-I 2 2'
loop_
_atom_site_label
_atom_site_fract_x
_atom_site_fract_y
_atom_site_fract_z
_atom_site_occupancy
Mo1 0.000 0.000 0.000 1
W1 0.000 0.000 0.500 1
O1 0.000 0.000 0.253 1
O2 0.000 0.309 0.500 1
O3 0.000 0.500 0.000 1
```

Peak list (10 most intense, 2θ from 15° to 90°, sorted by position)
- 2θ 17.92, I 16, (0 1 1)
- 2θ 22.96, I 55, (0 0 2)
- 2θ 27.69, I 100, (0 2 0)
- 2θ 36.27, I 58, (0 2 2)
- 2θ 46.91, I 12, (0 0 4)
- 2θ 48.96, I 27, (2 0 0)
- 2θ 54.74, I 26, (2 0 2)
- 2θ 55.34, I 28, (0 2 4)
- 2θ 70.14, I 17, (2 0 4)
- 2θ 76.99, I 12, (0 4 4)